This entry pairs a crystal structure of Ho3Mg2 with its calculated PXRD pattern. Radiation: copper Kα. Structure: a structure optimized by DFT (GGA-PBE).

Principal peaks in the range 15° ≤ 2θ ≤ 90°, by intensity:
| d (Å) | Position (°2θ) | I_rel |
| --- | --- | --- |
| 3.142 | 28.4 | 1000 |
| 2.882 | 31.0 | 895 |
| 2.804 | 31.9 | 795 |
| 4.337 | 20.5 | 370 |
| 3.243 | 27.5 | 352 |
| 2.651 | 33.8 | 295 |
| 2.738 | 32.7 | 277 |
| 1.723 | 53.2 | 255 |
| 2.340 | 38.5 | 223 |
| 1.601 | 57.6 | 184 |
| 1.951 | 46.6 | 174 |
| 2.446 | 36.7 | 156 |

Unit cell a=8.918 b=11.704 c=5.760 alpha=90.00 beta=103.45 gamma=90.00
Space group C2/c (No. 15)
One atom of each set of equivalent atoms:
Ho: 0.159 0.082 0.484 x8
Ho: 0.250 0.250 0.000 x4
Mg: 0.000 0.319 0.250 x4
Mg: 0.000 0.437 0.750 x4